The following is a theoretical powder diffractogram of Rb3Ag2PdF9. It was derived from DFT lattice parameters and positions (PBE), using Cu Kα, 1.54184 Å.
No peak broadening, texture or thermal motion is included.

Top 8 peaks for 2θ from 10° to 80°, by angle:
| two_theta | I (rel.) |
| --- | --- |
| 20.0 | 8 |
| 28.5 | 100 |
| 40.7 | 38 |
| 45.8 | 3 |
| 50.5 | 39 |
| 59.0 | 22 |
| 66.8 | 17 |
| 74.1 | 6 |

Structural model:
Lattice parameters (Å, degrees): 6.2690 6.2690 7.6620 90.00 90.00 120.00
Space group P-3m1 (No. 164)
One atom of each set of equivalent atoms:
Rb1 0.0000 0.0000 0.0000
Rb2 0.3333 0.6667 0.6921
Ag1 0.3333 0.6667 0.1779
Pd1 0.0000 0.0000 0.5000
F1 0.0000 0.5000 0.0000
F2 0.1557 0.3115 0.3474